Li5NiOF5: theoretical PXRD pattern (Cu Ka), based on a cell relaxed with GGA+U.
Neutral-atom scattering factors, no anomalous dispersion.

Top 8 peaks for 10 to 80 degrees two-theta, in order of rising 2θ:
2θ (°)	I/Imax	index
11.7	1000	0 0 4
17.7	447	0 0 6
32.3	809	1 -1 0
32.8	433	1 1 -1
32.9	426	0 2 -3
34.5	347	1 -1 4
35.7	639	0 0 12
58.2	377	1 3 -2

Structural model:
a b c (Å): 3.1690 5.5397 30.3148
angles (deg): 95.21 92.90 90.81
Fractional coordinates of all 48 atoms:
Li: 0.0000 0.0000 0.0000
Li: 0.0353 0.3721 0.0818
Li: 0.0782 0.0796 0.1630
Li: 0.1192 0.4542 0.2441
Li: 0.2091 0.5446 0.4218
Li: 0.2493 0.2516 0.5031
Li: 0.2877 0.6232 0.5839
Li: 0.3297 0.3323 0.6663
Li: 0.3744 0.7034 0.7471
Li: 0.4646 0.7883 0.9187
Li: 0.4956 0.4999 0.0011
Li: 0.5365 0.8732 0.0815
Li: 0.5780 0.5800 0.1629
Li: 0.6185 0.9535 0.2442
Li: 0.7080 0.0436 0.4213
Li: 0.7499 0.7527 0.5034
Li: 0.7873 0.1260 0.5846
Li: 0.8303 0.8300 0.6644
Li: 0.8663 0.2007 0.7456
Li: 0.9468 0.2954 0.9190
Ni: 0.1724 0.1705 0.3375
Ni: 0.3972 0.4207 0.8360
Ni: 0.6744 0.6685 0.3378
Ni: 0.9491 0.9233 0.8369
O: 0.1791 0.5095 0.3556
O: 0.4468 0.7541 0.8530
O: 0.6769 0.0079 0.3550
O: 0.8968 0.2638 0.8532
F: 0.0011 0.3403 0.0191
F: 0.0491 0.0496 0.1002
F: 0.0837 0.4209 0.1812
F: 0.1310 0.1315 0.2623
F: 0.2207 0.2210 0.4403
F: 0.2551 0.5926 0.5213
F: 0.3000 0.3031 0.6032
F: 0.3368 0.6768 0.6842
F: 0.3774 0.3760 0.7604
F: 0.4612 0.4695 0.9386
F: 0.5053 0.8421 0.0187
F: 0.5479 0.5501 0.1000
F: 0.5838 0.9210 0.1814
F: 0.6319 0.6312 0.2621
F: 0.7216 0.7220 0.4406
F: 0.7549 0.0942 0.5217
F: 0.8003 0.8004 0.6019
F: 0.8344 0.1680 0.6830
F: 0.8887 0.8816 0.7673
F: 0.9759 0.9691 0.9368